Record 1
# Ti4Ni6Rh7
Computed powder X-ray diffraction pattern, λ = 1.5418 Å (Cu Kα). Input: the PBE geometry in Alexandria.
Kinematic intensities with the Lorentz-polarization factor, no thermal factor.

The 10 most intense peaks (5 to 70 degrees two-theta), sorted by position:
- 2θ 16.09, I 3.9
- 2θ 22.83, I 23.8
- 2θ 28.05, I 12.8
- 2θ 40.09, I 100.0
- 2θ 43.45, I 32.9
- 2θ 46.63, I 67.6
- 2θ 49.64, I 6.4
- 2θ 52.52, I 5.3
- 2θ 55.30, I 18.1
- 2θ 68.07, I 36.0

Atomic structure:
```
17
Lattice="-3.896 3.896 3.896 3.896 -3.896 3.896 3.896 3.896 -3.896" Properties=species:S:1:pos:R:3 pbc="T T T"
Ti 1.948 1.948 -1.948
Ti 1.948 -1.948 1.948
Ti -1.948 1.948 1.948
Ti 1.948 1.948 1.948
Ni 2.319 0.000 0.000
Ni 5.473 0.000 0.000
Ni 0.000 2.319 0.000
Ni 0.000 0.000 2.319
Ni 0.000 5.473 0.000
Ni 0.000 0.000 5.473
Rh 0.000 0.000 0.000
Rh 3.896 1.948 0.000
Rh 3.896 0.000 1.948
Rh 1.948 3.896 0.000
Rh 1.948 0.000 3.896
Rh 0.000 3.896 1.948
Rh 0.000 1.948 3.896
```



Record 2
# TiNi4Rh2
Computed powder X-ray diffraction pattern, λ = 1.5418 Å (Cu Kα). Input: the PBE geometry in Alexandria.
Kinematic intensities with the Lorentz-polarization factor, no thermal factor.

The 10 most intense peaks (5 to 70 degrees two-theta), sorted by position:
- 2θ 21.12, I 13.1
- 2θ 23.44, I 17.6
- 2θ 37.11, I 24.8
- 2θ 38.45, I 67.4
- 2θ 40.69, I 66.8
- 2θ 42.52, I 34.4
- 2θ 43.04, I 31.5
- 2θ 47.93, I 100.0
- 2θ 48.53, I 63.4
- 2θ 60.71, I 15.5

Atomic structure:
```
14
Lattice="4.207 -2.423 0.000 4.207 2.423 0.000 0.000 0.000 8.870" Properties=species:S:1:pos:R:3 pbc="T T T"
Ti 0.000 0.000 0.000
Ti 4.207 0.000 4.435
Ni 2.103 1.201 6.653
Ni 4.207 2.405 6.417
Ni 4.207 0.017 1.982
Ni 2.103 -1.201 2.218
Ni 6.310 1.201 6.653
Ni 4.207 -0.017 6.889
Ni 4.207 -2.405 2.453
Ni 6.310 -1.201 2.218
Rh 1.536 0.000 4.435
Rh 2.671 0.000 0.000
Rh 5.743 0.000 0.000
Rh 6.878 0.000 4.435
```



Record 3
# Ti4Ni4Rh3
Computed powder X-ray diffraction pattern, λ = 1.5418 Å (Cu Kα). Input: the PBE geometry in Alexandria.
Kinematic intensities with the Lorentz-polarization factor, no thermal factor.

The 10 most intense peaks (5 to 70 degrees two-theta), sorted by position:
- 2θ 36.42, I 35.2
- 2θ 38.60, I 100.0
- 2θ 38.99, I 15.1
- 2θ 43.29, I 42.7
- 2θ 43.56, I 19.9
- 2θ 44.13, I 35.3
- 2θ 48.43, I 18.7
- 2θ 52.34, I 13.0
- 2θ 54.10, I 17.9
- 2θ 64.10, I 12.8

Atomic structure:
```
11
Lattice="-1.453 4.104 6.467 1.453 -4.104 6.467 1.453 4.104 -6.467" Properties=species:S:1:pos:R:3 pbc="T T T"
Ti 0.000 0.000 2.623
Ti 1.453 2.412 0.000
Ti 0.000 1.692 6.467
Ti 0.000 0.000 10.311
Ni 1.453 1.964 -2.290
Ni 1.453 1.964 2.290
Ni 0.000 2.140 4.177
Ni 0.000 2.140 8.757
Rh 0.000 0.000 0.000
Rh 1.453 0.000 4.982
Rh 0.000 4.104 1.485
```



Record 4
# TiNiRh
Computed powder X-ray diffraction pattern, λ = 1.5418 Å (Cu Kα). Input: the PBE geometry in Alexandria.
Kinematic intensities with the Lorentz-polarization factor, no thermal factor.

The 10 most intense peaks (5 to 70 degrees two-theta), sorted by position:
- 2θ 32.71, I 14.2
- 2θ 38.13, I 71.3
- 2θ 40.10, I 27.1
- 2θ 40.89, I 100.0
- 2θ 42.44, I 12.2
- 2θ 42.71, I 16.2
- 2θ 42.99, I 25.8
- 2θ 45.34, I 19.8
- 2θ 45.92, I 25.8
- 2θ 48.86, I 22.0

Atomic structure:
```
18
Lattice="-3.728 5.191 3.223 3.728 -5.191 3.223 3.728 5.191 -3.223" Properties=species:S:1:pos:R:3 pbc="T T T"
Ti 0.170 1.821 0.000
Ti 3.559 1.821 0.000
Ti 1.864 -0.675 3.243
Ti 1.864 5.866 0.021
Ti 0.170 3.370 3.223
Ti 3.559 3.370 3.223
Ni 0.000 0.000 1.765
Ni 3.728 0.000 1.765
Ni 0.511 4.065 0.947
Ni 3.217 4.065 0.947
Ni -0.511 6.316 0.947
Ni 0.511 1.125 4.170
Rh 1.864 3.318 -1.346
Rh 5.592 2.462 1.495
Rh 1.864 1.873 1.877
Rh -1.864 4.958 2.906
Rh 1.864 5.423 2.906
Rh -1.864 2.729 4.718
```



Record 5
# Ti3Ni2Rh
Computed powder X-ray diffraction pattern, λ = 1.5418 Å (Cu Kα). Input: the PBE geometry in Alexandria.
Kinematic intensities with the Lorentz-polarization factor, no thermal factor.

The 10 most intense peaks (5 to 70 degrees two-theta), sorted by position:
- 2θ 20.66, I 12.9
- 2θ 37.54, I 15.3
- 2θ 39.72, I 48.1
- 2θ 41.96, I 57.3
- 2θ 42.38, I 13.6
- 2θ 42.52, I 100.0
- 2θ 42.78, I 98.4
- 2θ 58.74, I 13.7
- 2θ 59.55, I 13.4
- 2θ 64.59, I 14.5

Atomic structure:
```
6
Lattice="4.539 0.000 0.000 0.000 2.886 0.000 -2.189 0.000 6.460" Properties=species:S:1:pos:R:3 pbc="T T T"
Ti 0.000 0.000 0.000
Ti -0.105 0.000 4.216
Ti 2.455 0.000 2.245
Ni 0.349 1.443 2.124
Ni 2.001 1.443 4.337
Rh 2.270 1.443 0.000
```



Record 6
# Ti6NiRh2
Computed powder X-ray diffraction pattern, λ = 1.5418 Å (Cu Kα). Input: the PBE geometry in Alexandria.
Kinematic intensities with the Lorentz-polarization factor, no thermal factor.

The 10 most intense peaks (5 to 70 degrees two-theta), sorted by position:
- 2θ 25.75, I 39.6
- 2θ 25.86, I 39.2
- 2θ 42.73, I 100.0
- 2θ 42.99, I 19.7
- 2θ 50.51, I 18.0
- 2θ 50.69, I 11.9
- 2θ 61.85, I 6.2
- 2θ 62.11, I 6.1
- 2θ 62.29, I 6.0
- 2θ 68.25, I 7.0

Atomic structure:
```
9
Lattice="6.686 -3.000 0.000 6.686 3.000 0.000 -1.314 0.000 3.998" Properties=species:S:1:pos:R:3 pbc="T T T"
Ti 4.050 1.518 1.343
Ti 6.686 1.534 0.000
Ti 8.009 1.518 2.655
Ti 4.050 -1.518 1.343
Ti 6.686 -1.534 0.000
Ti 8.009 -1.518 2.655
Ni -0.657 0.000 1.999
Rh 3.372 0.000 3.335
Rh 8.687 0.000 0.663
```



Record 7
# Ti2NiRh2
Computed powder X-ray diffraction pattern, λ = 1.5418 Å (Cu Kα). Input: the PBE geometry in Alexandria.
Kinematic intensities with the Lorentz-polarization factor, no thermal factor.

The 10 most intense peaks (5 to 70 degrees two-theta), sorted by position:
- 2θ 22.29, I 22.0
- 2θ 32.05, I 18.6
- 2θ 36.98, I 18.1
- 2θ 40.37, I 100.0
- 2θ 41.30, I 89.6
- 2θ 43.26, I 53.6
- 2θ 44.08, I 26.1
- 2θ 44.18, I 24.2
- 2θ 45.83, I 27.5
- 2θ 54.48, I 19.7

Atomic structure:
```
10
Lattice="2.092 -6.607 0.000 2.092 6.607 0.000 0.000 0.000 5.228" Properties=species:S:1:pos:R:3 pbc="T T T"
Ti 2.092 5.551 2.614
Ti 2.092 2.736 3.580
Ti 2.092 -2.736 0.966
Ti 2.092 -5.551 0.000
Ni 2.092 5.091 5.159
Ni 2.092 -5.091 2.546
Rh 2.092 2.432 0.914
Rh 2.092 0.246 4.053
Rh 2.092 -0.246 1.439
Rh 2.092 -2.432 3.528
```



Record 8
# TiNi3Rh
Computed powder X-ray diffraction pattern, λ = 1.5418 Å (Cu Kα). Input: the PBE geometry in Alexandria.
Kinematic intensities with the Lorentz-polarization factor, no thermal factor.

The 10 most intense peaks (5 to 70 degrees two-theta), sorted by position:
- 2θ 19.67, I 4.8
- 2θ 24.15, I 10.2
- 2θ 27.95, I 6.7
- 2θ 31.33, I 7.2
- 2θ 39.94, I 5.4
- 2θ 42.48, I 100.0
- 2θ 44.90, I 57.0
- 2θ 47.22, I 36.7
- 2θ 53.72, I 11.8
- 2θ 61.64, I 6.8

Atomic structure:
```
20
Lattice="6.384 0.000 0.000 0.000 6.384 0.000 0.000 0.000 6.384" Properties=species:S:1:pos:R:3 pbc="T T T"
Ti 1.249 1.249 1.249
Ti 1.943 5.135 4.441
Ti 4.441 1.943 5.135
Ti 5.135 4.441 1.943
Ni 0.319 0.777 5.123
Ni 0.777 5.123 0.319
Ni 1.261 3.511 2.415
Ni 1.931 2.873 5.607
Ni 2.415 1.261 3.511
Ni 2.873 5.607 1.931
Ni 3.511 2.415 1.261
Ni 3.969 4.453 6.065
Ni 4.453 6.065 3.969
Ni 5.123 0.319 0.777
Ni 5.607 1.931 2.873
Ni 6.065 3.969 4.453
Rh 0.344 6.040 2.848
Rh 2.848 0.344 6.040
Rh 3.536 3.536 3.536
Rh 6.040 2.848 0.344
```



Record 9
# Ti6Ni3Rh
Computed powder X-ray diffraction pattern, λ = 1.5418 Å (Cu Kα). Input: the PBE geometry in Alexandria.
Kinematic intensities with the Lorentz-polarization factor, no thermal factor.

The 10 most intense peaks (5 to 70 degrees two-theta), sorted by position:
- 2θ 22.23, I 42.5
- 2θ 35.40, I 34.5
- 2θ 37.89, I 45.6
- 2θ 41.22, I 57.1
- 2θ 41.54, I 67.7
- 2θ 41.76, I 90.0
- 2θ 41.93, I 35.4
- 2θ 42.66, I 100.0
- 2θ 44.55, I 58.6
- 2θ 45.38, I 90.6

Atomic structure:
```
20
Lattice="7.331 0.000 0.000 0.000 4.993 0.000 -3.704 0.000 8.019" Properties=species:S:1:pos:R:3 pbc="T T T"
Ti -0.827 0.099 2.841
Ti -2.679 2.397 6.850
Ti 0.503 2.652 3.646
Ti -1.349 4.838 7.655
Ti -0.144 1.147 5.683
Ti 1.708 1.350 1.674
Ti 1.919 3.643 6.345
Ti 3.771 3.847 2.336
Ti 4.976 0.155 0.364
Ti 3.124 2.341 4.373
Ti 6.306 2.596 1.169
Ti 4.454 4.894 5.178
Ni 0.000 0.000 0.000
Ni -1.852 2.497 4.009
Ni -0.554 3.733 5.618
Ni 1.298 3.757 1.608
Ni 2.329 1.236 6.411
Ni 4.181 1.260 2.401
Rh 1.814 0.000 4.009
Rh 3.666 2.497 0.000
```



Record 10
# Ti2Ni15Rh2
Computed powder X-ray diffraction pattern, λ = 1.5418 Å (Cu Kα). Input: the PBE geometry in Alexandria.
Kinematic intensities with the Lorentz-polarization factor, no thermal factor.

The 10 most intense peaks (5 to 70 degrees two-theta), sorted by position:
- 2θ 31.19, I 12.9
- 2θ 36.81, I 15.3
- 2θ 38.24, I 34.6
- 2θ 39.22, I 12.8
- 2θ 44.45, I 52.0
- 2θ 44.57, I 100.0
- 2θ 44.95, I 38.2
- 2θ 45.44, I 22.8
- 2θ 50.14, I 49.5
- 2θ 65.06, I 15.6

Atomic structure:
```
19
Lattice="4.077 2.354 4.033 -4.077 2.354 4.033 0.000 -4.707 4.033" Properties=species:S:1:pos:R:3 pbc="T T T"
Ti 0.000 0.000 1.389
Ti 0.000 0.000 10.711
Ni -4.077 0.000 6.050
Ni -1.245 -2.551 4.033
Ni -2.038 1.177 2.017
Ni -2.832 0.198 4.033
Ni -1.980 -1.143 5.887
Ni 1.245 -2.551 4.033
Ni -1.587 2.354 4.033
Ni 0.000 -2.286 6.213
Ni -1.980 1.143 6.213
Ni 2.038 1.177 2.017
Ni 1.980 -1.143 5.887
Ni 0.000 2.286 5.887
Ni 2.832 0.198 4.033
Ni 1.587 2.354 4.033
Ni 1.980 1.143 6.213
Rh 0.000 0.000 3.855
Rh 0.000 0.000 8.245
```



Record 11
# Ti7Ni2Rh2
Computed powder X-ray diffraction pattern, λ = 1.5418 Å (Cu Kα). Input: the PBE geometry in Alexandria.
Kinematic intensities with the Lorentz-polarization factor, no thermal factor.

The 10 most intense peaks (5 to 70 degrees two-theta), sorted by position:
- 2θ 24.45, I 70.1
- 2θ 30.37, I 75.8
- 2θ 33.35, I 34.1
- 2θ 35.13, I 21.6
- 2θ 40.12, I 52.2
- 2θ 44.13, I 37.8
- 2θ 44.35, I 18.1
- 2θ 44.65, I 100.0
- 2θ 51.13, I 26.7
- 2θ 53.31, I 24.9

Atomic structure:
```
11
Lattice="3.343 -4.495 0.000 3.343 4.495 0.000 0.000 0.000 6.209" Properties=species:S:1:pos:R:3 pbc="T T T"
Ti 0.000 0.000 0.000
Ti 1.671 2.247 1.685
Ti 1.671 2.247 4.524
Ti 1.671 -2.247 1.685
Ti 1.671 -2.247 4.524
Ti 3.343 0.000 1.608
Ti 3.343 0.000 4.601
Ni 3.343 1.904 0.000
Ni 3.343 -1.904 0.000
Rh 1.281 0.000 3.105
Rh 5.404 0.000 3.105
```



Record 12
# Ti2NiRh4
Computed powder X-ray diffraction pattern, λ = 1.5418 Å (Cu Kα). Input: the PBE geometry in Alexandria.
Kinematic intensities with the Lorentz-polarization factor, no thermal factor.

The 10 most intense peaks (5 to 70 degrees two-theta), sorted by position:
- 2θ 24.33, I 39.6
- 2θ 36.77, I 25.6
- 2θ 39.14, I 49.1
- 2θ 40.10, I 77.6
- 2θ 40.32, I 64.1
- 2θ 41.84, I 100.0
- 2θ 42.04, I 26.1
- 2θ 44.58, I 73.4
- 2θ 45.93, I 45.8
- 2θ 50.20, I 26.1

Atomic structure:
```
14
Lattice="4.988 0.000 0.000 0.000 7.318 0.000 -1.138 0.000 5.612" Properties=species:S:1:pos:R:3 pbc="T T T"
Ti 0.162 0.196 1.385
Ti -0.407 3.463 4.191
Ti 4.257 3.855 1.421
Ti 3.689 7.121 4.227
Ni 2.494 0.000 0.000
Ni 1.925 3.659 2.806
Rh 1.102 5.262 0.381
Rh 0.533 5.715 3.187
Rh 0.854 1.343 3.473
Rh 1.423 2.316 0.667
Rh 2.427 5.001 4.945
Rh 2.996 5.975 2.139
Rh 3.317 1.603 2.425
Rh 2.748 2.056 5.231
```